(1)
Structure and calculated powder X-ray diffraction pattern of La5PmNd2Cd (a cell relaxed with GGA-PBE; Cu Kα, 1.54184 Å).
Kinematic intensities with the Lorentz-polarization factor, no thermal factor.

Top 8 peaks for 2θ = 10–80°, low angle first:
- d 3.206, 2θ = 27.83°, I = 12
- d 3.074, 2θ = 29.05°, I = 32
- d 2.853, 2θ = 31.35°, I = 35
- d 2.829, 2θ = 31.63°, I = 100
- d 2.783, 2θ = 32.17°, I = 17
- d 1.992, 2θ = 45.53°, I = 13
- d 1.643, 2θ = 55.98°, I = 26
- d 1.555, 2θ = 59.46°, I = 12

Cell and atoms:
```
data_La5PmNd2Cd
_chemical_formula_sum 'La10 Pm2 Nd4 Cd2'
_cell_length_a 10.441
_cell_length_b 10.441
_cell_length_c 11.131
_cell_angle_alpha 90.00
_cell_angle_beta 90.00
_cell_angle_gamma 148.28
_symmetry_space_group_name_H-M 'P 1'
_symmetry_Int_Tables_number 1
loop_
_symmetry_equiv_pos_as_xyz
'x,y,z'
loop_
_atom_site_label
_atom_site_type_symbol
_atom_site_fract_x
_atom_site_fract_y
_atom_site_fract_z
_atom_site_occupancy
La1 La 0.000 0.000 0.000 1
La2 La 0.000 0.000 0.500 1
La3 La 0.121 0.879 0.750 1
La4 La 0.211 0.789 0.050 1
La5 La 0.211 0.789 0.450 1
La6 La 0.488 0.511 0.750 1
La7 La 0.511 0.488 0.250 1
La8 La 0.789 0.211 0.550 1
La9 La 0.789 0.211 0.950 1
La10 La 0.879 0.121 0.250 1
Pm1 Pm 0.309 0.691 0.750 1
Pm2 Pm 0.691 0.309 0.250 1
Nd1 Nd 0.384 0.616 0.043 1
Nd2 Nd 0.384 0.616 0.457 1
Nd3 Nd 0.616 0.384 0.543 1
Nd4 Nd 0.616 0.384 0.957 1
Cd1 Cd 0.092 0.908 0.250 1
Cd2 Cd 0.908 0.092 0.750 1
```

(2)
Structure and calculated powder X-ray diffraction pattern of LaNdPuCd (a cell relaxed with GGA-PBE; Cu Kα, 1.54184 Å).
Kinematic intensities with the Lorentz-polarization factor, no thermal factor.

Top 8 peaks for 2θ = 10–80°, low angle first:
- d 4.542, 2θ = 19.54°, I = 8
- d 2.782, 2θ = 32.18°, I = 100
- d 2.372, 2θ = 37.93°, I = 5
- d 1.967, 2θ = 46.15°, I = 18
- d 1.805, 2θ = 50.57°, I = 2
- d 1.606, 2θ = 57.38°, I = 39
- d 1.391, 2θ = 67.33°, I = 12
- d 1.244, 2θ = 76.60°, I = 17

Cell and atoms:
```
data_LaNdPuCd
_chemical_formula_sum 'La4 Nd4 Pu4 Cd4'
_cell_length_a 7.867
_cell_length_b 7.867
_cell_length_c 7.867
_cell_angle_alpha 90.00
_cell_angle_beta 90.00
_cell_angle_gamma 90.00
_symmetry_space_group_name_H-M 'P 1'
_symmetry_Int_Tables_number 1
loop_
_symmetry_equiv_pos_as_xyz
'x,y,z'
loop_
_atom_site_label
_atom_site_type_symbol
_atom_site_fract_x
_atom_site_fract_y
_atom_site_fract_z
_atom_site_occupancy
La1 La 0.000 0.000 0.000 1
La2 La 0.000 0.500 0.500 1
La3 La 0.500 0.000 0.500 1
La4 La 0.500 0.500 0.000 1
Nd1 Nd 0.000 0.000 0.500 1
Nd2 Nd 0.000 0.500 0.000 1
Nd3 Nd 0.500 0.000 0.000 1
Nd4 Nd 0.500 0.500 0.500 1
Pu1 Pu 0.250 0.250 0.250 1
Pu2 Pu 0.250 0.750 0.750 1
Pu3 Pu 0.750 0.250 0.750 1
Pu4 Pu 0.750 0.750 0.250 1
Cd1 Cd 0.250 0.250 0.750 1
Cd2 Cd 0.250 0.750 0.250 1
Cd3 Cd 0.750 0.250 0.250 1
Cd4 Cd 0.750 0.750 0.750 1
```

(3)
Structure and calculated powder X-ray diffraction pattern of LaNdCdRh (a cell relaxed with GGA-PBE; Cu Kα, 1.54184 Å).
Kinematic intensities with the Lorentz-polarization factor, no thermal factor.

Top 7 peaks for 2θ = 10–80°, low angle first:
- d 3.726, 2θ = 23.88°, I = 2
- d 2.634, 2θ = 34.03°, I = 100
- d 2.151, 2θ = 42.00°, I = 1
- d 1.863, 2θ = 48.89°, I = 18
- d 1.666, 2θ = 55.12°, I = 1
- d 1.521, 2θ = 60.91°, I = 36
- d 1.317, 2θ = 71.64°, I = 11

Cell and atoms:
```
data_LaNdCdRh
_chemical_formula_sum 'La4 Nd4 Cd4 Rh4'
_cell_length_a 7.451
_cell_length_b 7.451
_cell_length_c 7.451
_cell_angle_alpha 90.00
_cell_angle_beta 90.00
_cell_angle_gamma 90.00
_symmetry_space_group_name_H-M 'P 1'
_symmetry_Int_Tables_number 1
loop_
_symmetry_equiv_pos_as_xyz
'x,y,z'
loop_
_atom_site_label
_atom_site_type_symbol
_atom_site_fract_x
_atom_site_fract_y
_atom_site_fract_z
_atom_site_occupancy
La1 La 0.000 0.000 0.000 1
La2 La 0.000 0.500 0.500 1
La3 La 0.500 0.000 0.500 1
La4 La 0.500 0.500 0.000 1
Nd1 Nd 0.000 0.000 0.500 1
Nd2 Nd 0.000 0.500 0.000 1
Nd3 Nd 0.500 0.000 0.000 1
Nd4 Nd 0.500 0.500 0.500 1
Cd1 Cd 0.250 0.250 0.750 1
Cd2 Cd 0.250 0.750 0.250 1
Cd3 Cd 0.750 0.250 0.250 1
Cd4 Cd 0.750 0.750 0.750 1
Rh1 Rh 0.250 0.250 0.250 1
Rh2 Rh 0.250 0.750 0.750 1
Rh3 Rh 0.750 0.250 0.750 1
Rh4 Rh 0.750 0.750 0.250 1
```

(4)
Structure and calculated powder X-ray diffraction pattern of La2NdCd2Sn2 (a cell relaxed with GGA-PBE; Cu Kα, 1.54184 Å).
Kinematic intensities with the Lorentz-polarization factor, no thermal factor.

Top 8 peaks for 2θ = 10–80°, low angle first:
- d 2.949, 2θ = 30.31°, I = 100
- d 2.734, 2θ = 32.75°, I = 30
- d 2.492, 2θ = 36.05°, I = 89
- d 1.903, 2θ = 47.79°, I = 28
- d 1.512, 2θ = 61.29°, I = 27
- d 1.503, 2θ = 61.70°, I = 25
- d 1.438, 2θ = 64.81°, I = 16
- d 1.246, 2θ = 76.46°, I = 10

Cell and atoms:
```
data_La2NdCd2Sn2
_chemical_formula_sum 'La2 Nd1 Cd2 Sn2'
_cell_length_a 9.855
_cell_length_b 9.855
_cell_length_c 9.855
_cell_angle_alpha 29.29
_cell_angle_beta 29.29
_cell_angle_gamma 29.29
_symmetry_space_group_name_H-M 'P 1'
_symmetry_Int_Tables_number 1
loop_
_symmetry_equiv_pos_as_xyz
'x,y,z'
loop_
_atom_site_label
_atom_site_type_symbol
_atom_site_fract_x
_atom_site_fract_y
_atom_site_fract_z
_atom_site_occupancy
La1 La 0.133 0.133 0.133 1
La2 La 0.867 0.867 0.867 1
Nd1 Nd 0.000 0.000 0.000 1
Cd1 Cd 0.413 0.413 0.413 1
Cd2 Cd 0.587 0.587 0.587 1
Sn1 Sn 0.268 0.268 0.268 1
Sn2 Sn 0.732 0.732 0.732 1
```

(5)
Structure and calculated powder X-ray diffraction pattern of LaNdTm2Cd4 (a cell relaxed with GGA-PBE; Cu Kα, 1.54184 Å).
Kinematic intensities with the Lorentz-polarization factor, no thermal factor.

Top 8 peaks for 2θ = 10–80°, low angle first:
- d 3.805, 2θ = 23.38°, I = 3
- d 2.690, 2θ = 33.30°, I = 100
- d 2.197, 2θ = 41.09°, I = 1
- d 1.902, 2θ = 47.82°, I = 18
- d 1.701, 2θ = 53.89°, I = 1
- d 1.553, 2θ = 59.52°, I = 37
- d 1.345, 2θ = 69.94°, I = 11
- d 1.203, 2θ = 79.70°, I = 16

Cell and atoms:
```
data_LaNdTm2Cd4
_chemical_formula_sum 'La1 Nd1 Tm2 Cd4'
_cell_length_a 9.313
_cell_length_b 9.313
_cell_length_c 9.313
_cell_angle_alpha 33.60
_cell_angle_beta 33.60
_cell_angle_gamma 33.60
_symmetry_space_group_name_H-M 'P 1'
_symmetry_Int_Tables_number 1
loop_
_symmetry_equiv_pos_as_xyz
'x,y,z'
loop_
_atom_site_label
_atom_site_type_symbol
_atom_site_fract_x
_atom_site_fract_y
_atom_site_fract_z
_atom_site_occupancy
La1 La 0.000 0.000 0.000 1
Nd1 Nd 0.500 0.500 0.500 1
Tm1 Tm 0.250 0.250 0.250 1
Tm2 Tm 0.750 0.750 0.750 1
Cd1 Cd 0.126 0.126 0.126 1
Cd2 Cd 0.376 0.376 0.376 1
Cd3 Cd 0.624 0.624 0.624 1
Cd4 Cd 0.874 0.874 0.874 1
```

(6)
Structure and calculated powder X-ray diffraction pattern of LaCdNi10 (a cell relaxed with GGA-PBE; Cu Kα, 1.54184 Å).
Kinematic intensities with the Lorentz-polarization factor, no thermal factor.

Top 8 peaks for 2θ = 10–80°, low angle first:
- d 2.907, 2θ = 30.75°, I = 41
- d 2.434, 2θ = 36.92°, I = 28
- d 2.108, 2θ = 42.89°, I = 34
- d 2.082, 2θ = 43.47°, I = 100
- d 2.007, 2θ = 45.18°, I = 30
- d 1.549, 2θ = 59.71°, I = 13
- d 1.454, 2θ = 64.05°, I = 19
- d 1.326, 2θ = 71.10°, I = 14

Cell and atoms:
```
data_LaCdNi10
_chemical_formula_sum 'La1 Cd1 Ni10'
_cell_length_a 4.014
_cell_length_b 4.864
_cell_length_c 8.442
_cell_angle_alpha 90.00
_cell_angle_beta 90.00
_cell_angle_gamma 90.00
_symmetry_space_group_name_H-M 'P 1'
_symmetry_Int_Tables_number 1
loop_
_symmetry_equiv_pos_as_xyz
'x,y,z'
loop_
_atom_site_label
_atom_site_type_symbol
_atom_site_fract_x
_atom_site_fract_y
_atom_site_fract_z
_atom_site_occupancy
La1 La 0.000 0.000 0.000 1
Cd1 Cd 0.000 0.500 0.500 1
Ni1 Ni 0.000 0.000 0.342 1
Ni2 Ni 0.000 0.000 0.658 1
Ni3 Ni 0.000 0.500 0.180 1
Ni4 Ni 0.000 0.500 0.820 1
Ni5 Ni 0.500 0.000 0.500 1
Ni6 Ni 0.500 0.253 0.256 1
Ni7 Ni 0.500 0.253 0.744 1
Ni8 Ni 0.500 0.500 0.000 1
Ni9 Ni 0.500 0.747 0.256 1
Ni10 Ni 0.500 0.747 0.744 1
```

(7)
Structure and calculated powder X-ray diffraction pattern of LaCdNi2 (a cell relaxed with GGA-PBE; Cu Kα, 1.54184 Å).
Kinematic intensities with the Lorentz-polarization factor, no thermal factor.

Top 8 peaks for 2θ = 10–80°, low angle first:
- d 3.088, 2θ = 28.91°, I = 22
- d 2.693, 2θ = 33.27°, I = 100
- d 2.537, 2θ = 35.38°, I = 45
- d 2.135, 2θ = 42.34°, I = 38
- d 2.098, 2θ = 43.11°, I = 24
- d 1.983, 2θ = 45.77°, I = 22
- d 1.975, 2θ = 45.94°, I = 22
- d 1.559, 2θ = 59.29°, I = 19

Cell and atoms:
```
data_LaCdNi2
_chemical_formula_sum 'La2 Cd2 Ni4'
_cell_length_a 3.951
_cell_length_b 3.965
_cell_length_c 9.905
_cell_angle_alpha 90.00
_cell_angle_beta 90.00
_cell_angle_gamma 90.00
_symmetry_space_group_name_H-M 'P 1'
_symmetry_Int_Tables_number 1
loop_
_symmetry_equiv_pos_as_xyz
'x,y,z'
loop_
_atom_site_label
_atom_site_type_symbol
_atom_site_fract_x
_atom_site_fract_y
_atom_site_fract_z
_atom_site_occupancy
La1 La 0.000 0.000 0.000 1
La2 La 0.000 0.500 0.500 1
Cd1 Cd 0.500 0.000 0.709 1
Cd2 Cd 0.500 0.500 0.209 1
Ni1 Ni 0.000 0.000 0.277 1
Ni2 Ni 0.000 0.500 0.777 1
Ni3 Ni 0.500 0.000 0.418 1
Ni4 Ni 0.500 0.500 0.918 1
```

(8)
Structure and calculated powder X-ray diffraction pattern of La5Cd2Ni (a cell relaxed with GGA-PBE; Cu Kα, 1.54184 Å).
Kinematic intensities with the Lorentz-polarization factor, no thermal factor.

Top 8 peaks for 2θ = 10–80°, low angle first:
- d 3.023, 2θ = 29.55°, I = 44
- d 2.906, 2θ = 30.77°, I = 38
- d 2.831, 2θ = 31.60°, I = 100
- d 2.767, 2θ = 32.35°, I = 68
- d 2.729, 2θ = 32.82°, I = 62
- d 2.676, 2θ = 33.49°, I = 32
- d 1.911, 2θ = 47.59°, I = 27
- d 1.584, 2θ = 58.26°, I = 22

Cell and atoms:
```
data_La5Cd2Ni
_chemical_formula_sum 'La10 Cd4 Ni2'
_cell_length_a 6.855
_cell_length_b 12.842
_cell_length_c 5.458
_cell_angle_alpha 90.00
_cell_angle_beta 90.00
_cell_angle_gamma 90.00
_symmetry_space_group_name_H-M 'P 1'
_symmetry_Int_Tables_number 1
loop_
_symmetry_equiv_pos_as_xyz
'x,y,z'
loop_
_atom_site_label
_atom_site_type_symbol
_atom_site_fract_x
_atom_site_fract_y
_atom_site_fract_z
_atom_site_occupancy
La1 La 0.000 0.000 0.000 1
La2 La 0.117 0.296 0.000 1
La3 La 0.149 0.596 0.500 1
La4 La 0.351 0.096 0.500 1
La5 La 0.383 0.796 0.000 1
La6 La 0.500 0.500 0.000 1
La7 La 0.617 0.204 0.000 1
La8 La 0.649 0.904 0.500 1
La9 La 0.851 0.404 0.500 1
La10 La 0.883 0.704 0.000 1
Cd1 Cd 0.120 0.853 0.500 1
Cd2 Cd 0.380 0.353 0.500 1
Cd3 Cd 0.620 0.647 0.500 1
Cd4 Cd 0.880 0.147 0.500 1
Ni1 Ni 0.000 0.500 0.000 1
Ni2 Ni 0.500 0.000 0.000 1
```

(9)
Structure and calculated powder X-ray diffraction pattern of La8Cd3Ni2 (a cell relaxed with GGA-PBE; Cu Kα, 1.54184 Å).
Kinematic intensities with the Lorentz-polarization factor, no thermal factor.

Top 8 peaks for 2θ = 10–80°, low angle first:
- d 3.261, 2θ = 27.35°, I = 21
- d 2.842, 2θ = 31.48°, I = 14
- d 2.816, 2θ = 31.78°, I = 100
- d 2.804, 2θ = 31.91°, I = 26
- d 2.738, 2θ = 32.71°, I = 37
- d 2.522, 2θ = 35.59°, I = 12
- d 1.631, 2θ = 56.40°, I = 16
- d 1.595, 2θ = 57.81°, I = 16

Cell and atoms:
```
data_La8Cd3Ni2
_chemical_formula_sum 'La8 Cd3 Ni2'
_cell_length_a 10.319
_cell_length_b 10.319
_cell_length_c 4.007
_cell_angle_alpha 100.89
_cell_angle_beta 100.89
_cell_angle_gamma 64.11
_symmetry_space_group_name_H-M 'P 1'
_symmetry_Int_Tables_number 1
loop_
_symmetry_equiv_pos_as_xyz
'x,y,z'
loop_
_atom_site_label
_atom_site_type_symbol
_atom_site_fract_x
_atom_site_fract_y
_atom_site_fract_z
_atom_site_occupancy
La1 La 0.068 0.605 0.291 1
La2 La 0.080 0.080 0.297 1
La3 La 0.327 0.327 0.766 1
La4 La 0.395 0.932 0.709 1
La5 La 0.605 0.068 0.291 1
La6 La 0.673 0.673 0.234 1
La7 La 0.920 0.920 0.703 1
La8 La 0.932 0.395 0.709 1
Cd1 Cd 0.280 0.720 0.000 1
Cd2 Cd 0.500 0.500 0.500 1
Cd3 Cd 0.720 0.280 0.000 1
Ni1 Ni 0.215 0.215 0.114 1
Ni2 Ni 0.785 0.785 0.886 1
```

(10)
Structure and calculated powder X-ray diffraction pattern of La7Cd2Ni2 (a cell relaxed with GGA-PBE; Cu Kα, 1.54184 Å).
Kinematic intensities with the Lorentz-polarization factor, no thermal factor.

Top 8 peaks for 2θ = 10–80°, low angle first:
- d 3.556, 2θ = 25.04°, I = 31
- d 3.342, 2θ = 26.68°, I = 69
- d 3.208, 2θ = 27.81°, I = 56
- d 3.102, 2θ = 28.78°, I = 32
- d 2.928, 2θ = 30.53°, I = 76
- d 2.536, 2θ = 35.39°, I = 46
- d 2.467, 2θ = 36.42°, I = 100
- d 1.551, 2θ = 59.61°, I = 21

Cell and atoms:
```
data_La7Cd2Ni2
_chemical_formula_sum 'La7 Cd2 Ni2'
_cell_length_a 7.131
_cell_length_b 7.131
_cell_length_c 7.315
_cell_angle_alpha 90.00
_cell_angle_beta 90.00
_cell_angle_gamma 110.42
_symmetry_space_group_name_H-M 'P 1'
_symmetry_Int_Tables_number 1
loop_
_symmetry_equiv_pos_as_xyz
'x,y,z'
loop_
_atom_site_label
_atom_site_type_symbol
_atom_site_fract_x
_atom_site_fract_y
_atom_site_fract_z
_atom_site_occupancy
La1 La 0.000 0.000 0.000 1
La2 La 0.000 0.500 0.251 1
La3 La 0.000 0.500 0.749 1
La4 La 0.500 0.000 0.251 1
La5 La 0.500 0.000 0.749 1
La6 La 0.500 0.500 0.227 1
La7 La 0.500 0.500 0.773 1
Cd1 Cd 0.171 0.171 0.500 1
Cd2 Cd 0.829 0.829 0.500 1
Ni1 Ni 0.289 0.711 0.000 1
Ni2 Ni 0.711 0.289 0.000 1
```

(11)
Structure and calculated powder X-ray diffraction pattern of LaCd2Ni9 (a cell relaxed with GGA-PBE; Cu Kα, 1.54184 Å).
Kinematic intensities with the Lorentz-polarization factor, no thermal factor.

Top 8 peaks for 2θ = 10–80°, low angle first:
- d 2.552, 2θ = 35.16°, I = 46
- d 2.476, 2θ = 36.28°, I = 40
- d 2.125, 2θ = 42.54°, I = 32
- d 2.101, 2θ = 43.05°, I = 100
- d 1.986, 2θ = 45.67°, I = 38
- d 1.444, 2θ = 64.54°, I = 15
- d 1.345, 2θ = 69.94°, I = 22
- d 1.238, 2θ = 77.02°, I = 19

Cell and atoms:
```
data_LaCd2Ni9
_chemical_formula_sum 'La2 Cd4 Ni18'
_cell_length_a 4.953
_cell_length_b 4.953
_cell_length_c 15.879
_cell_angle_alpha 90.00
_cell_angle_beta 90.00
_cell_angle_gamma 120.00
_symmetry_space_group_name_H-M 'P 1'
_symmetry_Int_Tables_number 1
loop_
_symmetry_equiv_pos_as_xyz
'x,y,z'
loop_
_atom_site_label
_atom_site_type_symbol
_atom_site_fract_x
_atom_site_fract_y
_atom_site_fract_z
_atom_site_occupancy
La1 La 0.333 0.667 0.250 1
La2 La 0.667 0.333 0.750 1
Cd1 Cd 0.333 0.667 0.033 1
Cd2 Cd 0.333 0.667 0.467 1
Cd3 Cd 0.667 0.333 0.533 1
Cd4 Cd 0.667 0.333 0.967 1
Ni1 Ni 0.000 0.000 0.000 1
Ni2 Ni 0.000 0.000 0.250 1
Ni3 Ni 0.000 0.000 0.500 1
Ni4 Ni 0.000 0.000 0.750 1
Ni5 Ni 0.167 0.335 0.624 1
Ni6 Ni 0.167 0.335 0.876 1
Ni7 Ni 0.167 0.833 0.624 1
Ni8 Ni 0.167 0.833 0.876 1
Ni9 Ni 0.333 0.667 0.750 1
Ni10 Ni 0.335 0.167 0.124 1
Ni11 Ni 0.335 0.167 0.376 1
Ni12 Ni 0.665 0.833 0.624 1
Ni13 Ni 0.665 0.833 0.876 1
Ni14 Ni 0.667 0.333 0.250 1
Ni15 Ni 0.833 0.167 0.124 1
Ni16 Ni 0.833 0.167 0.376 1
Ni17 Ni 0.833 0.665 0.124 1
Ni18 Ni 0.833 0.665 0.376 1
```

(12)
Structure and calculated powder X-ray diffraction pattern of La5Cd2O2 (a cell relaxed with GGA-PBE; Cu Kα, 1.54184 Å).
Kinematic intensities with the Lorentz-polarization factor, no thermal factor.

Top 8 peaks for 2θ = 10–80°, low angle first:
- d 3.343, 2θ = 26.66°, I = 33
- d 3.231, 2θ = 27.60°, I = 25
- d 2.900, 2θ = 30.83°, I = 70
- d 2.886, 2θ = 30.99°, I = 100
- d 2.600, 2θ = 34.50°, I = 68
- d 2.344, 2θ = 38.41°, I = 25
- d 1.741, 2θ = 52.57°, I = 28
- d 1.548, 2θ = 59.73°, I = 21

Cell and atoms:
```
data_La5Cd2O2
_chemical_formula_sum 'La10 Cd4 O4'
_cell_length_a 10.720
_cell_length_b 10.720
_cell_length_c 10.720
_cell_angle_alpha 140.05
_cell_angle_beta 58.03
_cell_angle_gamma 139.72
_symmetry_space_group_name_H-M 'P 1'
_symmetry_Int_Tables_number 1
loop_
_symmetry_equiv_pos_as_xyz
'x,y,z'
loop_
_atom_site_label
_atom_site_type_symbol
_atom_site_fract_x
_atom_site_fract_y
_atom_site_fract_z
_atom_site_occupancy
La1 La 0.000 0.000 0.500 1
La2 La 0.000 0.500 0.000 1
La3 La 0.222 0.086 0.137 1
La4 La 0.232 0.000 0.732 1
La5 La 0.232 0.500 0.232 1
La6 La 0.449 0.086 0.363 1
La7 La 0.551 0.914 0.637 1
La8 La 0.768 0.000 0.268 1
La9 La 0.768 0.500 0.768 1
La10 La 0.778 0.914 0.863 1
Cd1 Cd 0.112 0.484 0.628 1
Cd2 Cd 0.355 0.484 0.872 1
Cd3 Cd 0.645 0.516 0.128 1
Cd4 Cd 0.888 0.516 0.372 1
O1 O 0.000 0.000 0.000 1
O2 O 0.216 0.966 0.250 1
O3 O 0.500 0.000 0.500 1
O4 O 0.784 0.034 0.750 1
```

(13)
Structure and calculated powder X-ray diffraction pattern of Rb2LaCd2O4 (a cell relaxed with GGA-PBE; Cu Kα, 1.54184 Å).
Kinematic intensities with the Lorentz-polarization factor, no thermal factor.

Top 8 peaks for 2θ = 10–80°, low angle first:
- d 6.907, 2θ = 12.82°, I = 100
- d 3.454, 2θ = 25.80°, I = 57
- d 3.150, 2θ = 28.33°, I = 44
- d 2.868, 2θ = 31.19°, I = 90
- d 2.652, 2θ = 33.80°, I = 71
- d 2.592, 2θ = 34.60°, I = 47
- d 2.396, 2θ = 37.53°, I = 55
- d 1.904, 2θ = 47.76°, I = 36

Cell and atoms:
```
data_Rb2LaCd2O4
_chemical_formula_sum 'Rb2 La1 Cd2 O4'
_cell_length_a 8.129
_cell_length_b 8.129
_cell_length_c 7.028
_cell_angle_alpha 100.37
_cell_angle_beta 100.37
_cell_angle_gamma 26.18
_symmetry_space_group_name_H-M 'P 1'
_symmetry_Int_Tables_number 1
loop_
_symmetry_equiv_pos_as_xyz
'x,y,z'
loop_
_atom_site_label
_atom_site_type_symbol
_atom_site_fract_x
_atom_site_fract_y
_atom_site_fract_z
_atom_site_occupancy
Rb1 Rb 0.124 0.124 0.071 1
Rb2 Rb 0.876 0.876 0.929 1
La1 La 0.000 0.000 0.500 1
Cd1 Cd 0.318 0.318 0.451 1
Cd2 Cd 0.682 0.682 0.549 1
O1 O 0.149 0.149 0.700 1
O2 O 0.445 0.445 0.672 1
O3 O 0.555 0.555 0.328 1
O4 O 0.851 0.851 0.300 1
```